This entry pairs a crystal structure of ZnCd12In2 with its simulated PXRD pattern. Radiation: CuKα. Structure: a cell relaxed with GGA-PBE.
Neutral-atom scattering factors, no anomalous dispersion.

Top 8 peaks for 2θ from 10° to 80°, low angle first:
2θ/deg, I_rel, index
27.26, 27, 1 1 4
31.11, 100, 2 0 2
33.60, 37, 1 1 6
34.64, 45, 2 0 4
37.16, 39, 1 1 7
39.95, 52, 2 0 6
42.71, 57, 2 2 0
60.70, 26, 3 1 8

Cell and atoms:
```
data_ZnCd12In2
_symmetry_space_group_name_H-M 'P 4/n b m'
_symmetry_Int_Tables_number 125
_cell_length_a 5.9875
_cell_length_b 5.9875
_cell_length_c 20.6116
_cell_angle_alpha 90.00
_cell_angle_beta 90.00
_cell_angle_gamma 90.00
loop_
_symmetry_equiv_pos_as_xyz
'x,y,z'
'-x,-y,-z'
'-y+1/2,x,z'
'y+1/2,-x,-z'
'-x+1/2,-y+1/2,z'
'x+1/2,y+1/2,-z'
'y,-x+1/2,z'
'-y,x+1/2,-z'
'x,-y+1/2,-z'
'-x,y+1/2,z'
'-y+1/2,-x+1/2,-z'
'y+1/2,x+1/2,z'
'-x+1/2,y,-z'
'x+1/2,-y,z'
'y,x,-z'
'-y,-x,z'
loop_
_atom_site_label
_atom_site_type_symbol
_atom_site_fract_x
_atom_site_fract_y
_atom_site_fract_z
_atom_site_occupancy
Zn1 Zn 0.2500 0.7500 0.0000 1
Cd1 Cd 0.0006 0.5006 0.0900 1
Cd2 Cd 0.0741 0.5741 0.5659 1
Cd3 Cd 0.2500 0.2500 0.1951 1
Cd4 Cd 0.2500 0.2500 0.3331 1
In1 In 0.2500 0.7500 0.2584 1
```